# 1
For Hg3O2F2, the GGA-PBE geometry in OQMD gives the theoretical powder X-ray diffraction pattern in this record (CuKα).

Cell and atoms:
```
data_Hg3O2F2
_cell_length_a 5.7940
_cell_length_b 6.8849
_cell_length_c 6.4458
_cell_angle_alpha 90.00
_cell_angle_beta 117.80
_cell_angle_gamma 90.00
_space_group_name_H-M_alt 'P 1 21/c 1'
_space_group_IT_number 14
_space_group_name_Hall '-P 2ybc'
loop_
_atom_site_label
_atom_site_type_symbol
_atom_site_fract_x
_atom_site_fract_y
_atom_site_fract_z
_atom_site_occupancy
Hg1 Hg 0.0000 0.0000 0.0000 1
Hg2 Hg 0.3625 0.0780 0.6945 1
O1 O 0.3502 0.1332 0.0656 1
F1 F 0.1268 0.6560 0.9142 1
```

Largest 6 diffraction maxima, in order of rising 2θ, 10 to 90 degrees two-theta:
2theta, I (rel.), h k l
25.88, 45, 0 2 0
27.82, 81, 1 0 -2
30.33, 38, 0 2 1
31.21, 100, 1 1 1
33.57, 85, 2 1 -1
38.36, 36, 1 2 -2


# 2
For Hg2OF2, the GGA-PBE geometry in OQMD gives the theoretical powder X-ray diffraction pattern in this record (CuKα).

Cell and atoms:
```
data_Hg2OF2
_cell_length_a 6.6227
_cell_length_b 6.6227
_cell_length_c 10.7120
_cell_angle_alpha 90.00
_cell_angle_beta 90.00
_cell_angle_gamma 90.00
_space_group_name_H-M_alt 'I 41/a m d'
_space_group_IT_number 141
loop_
_space_group_symop_operation_xyz
'x,y,z'
'-x,-y,-z'
'-y+1/4,x+3/4,z+1/4'
'y+1/4,-x+3/4,-z+1/4'
'-x+1/2,-y,z+1/2'
'x+1/2,y,-z+1/2'
'y+1/4,-x+1/4,z+3/4'
'-y+1/4,x+1/4,-z+3/4'
'x,-y,-z'
'-x,y,z'
'-y+1/4,-x+1/4,-z+3/4'
'y+1/4,x+1/4,z+3/4'
'-x+1/2,y,-z+1/2'
'x+1/2,-y,z+1/2'
'y+1/4,x+3/4,-z+1/4'
'-y+1/4,-x+3/4,z+1/4'
'x+1/2,y+1/2,z+1/2'
'-x+1/2,-y+1/2,-z+1/2'
'-y+3/4,x+1/4,z+3/4'
'y+3/4,-x+1/4,-z+3/4'
'-x,-y+1/2,z'
'x,y+1/2,-z'
'y+3/4,-x+3/4,z+1/4'
'-y+3/4,x+3/4,-z+1/4'
'x+1/2,-y+1/2,-z+1/2'
'-x+1/2,y+1/2,z+1/2'
'-y+3/4,-x+3/4,-z+1/4'
'y+3/4,x+3/4,z+1/4'
'-x,y+1/2,-z'
'x,-y+1/2,z'
'y+3/4,x+1/4,-z+3/4'
'-y+3/4,-x+1/4,z+3/4'
loop_
_atom_site_label
_atom_site_type_symbol
_atom_site_fract_x
_atom_site_fract_y
_atom_site_fract_z
_atom_site_occupancy
Hg1 Hg 0.0000 0.0000 0.0000 1
O1 O 0.0000 0.2500 0.8750 1
F1 F 0.0000 0.2500 0.1522 1
```

Largest 6 diffraction maxima, in order of rising 2θ, 10 to 90 degrees two-theta:
2theta, I (rel.), h k l
15.73, 100, 1 0 1
31.34, 34, 2 1 1
31.77, 70, 2 0 2
39.53, 25, 2 1 3
51.87, 22, 2 2 4
65.38, 18, 4 2 2


# 3
For Hg2OF2, the GGA-PBE geometry in OQMD gives the theoretical powder X-ray diffraction pattern in this record (CuKα).

Cell and atoms:
```
data_Hg2OF2
_cell_length_a 8.0682
_cell_length_b 8.0682
_cell_length_c 5.8210
_cell_angle_alpha 90.00
_cell_angle_beta 90.00
_cell_angle_gamma 90.00
_space_group_name_H-M_alt 'P 42/n m c'
_space_group_IT_number 137
loop_
_space_group_symop_operation_xyz
'x,y,z'
'-x,-y,-z'
'-y+1/2,x,z+1/2'
'y+1/2,-x,-z+1/2'
'-x+1/2,-y+1/2,z'
'x+1/2,y+1/2,-z'
'y,-x+1/2,z+1/2'
'-y,x+1/2,-z+1/2'
'x+1/2,-y,-z'
'-x+1/2,y,z'
'-y,-x,-z+1/2'
'y,x,z+1/2'
'-x,y+1/2,-z'
'x,-y+1/2,z'
'y+1/2,x+1/2,-z+1/2'
'-y+1/2,-x+1/2,z+1/2'
loop_
_atom_site_label
_atom_site_type_symbol
_atom_site_fract_x
_atom_site_fract_y
_atom_site_fract_z
_atom_site_occupancy
Hg1 Hg 0.0426 0.2500 0.0003 1
O1 O 0.2500 0.2500 0.2261 1
F1 F 0.0627 0.5627 0.2500 1
```

Largest 6 diffraction maxima, in order of rising 2θ, 10 to 90 degrees two-theta:
2theta, I (rel.), h k l
15.53, 18, 1 1 0
26.89, 100, 2 0 1
31.36, 23, 2 2 0
38.53, 22, 3 1 1
44.47, 27, 2 2 2
52.32, 17, 2 0 3


# 4
For Hg2PO3F, the GGA-PBE geometry in OQMD gives the theoretical powder X-ray diffraction pattern in this record (CuKα).

Cell and atoms:
```
data_Hg2PO3F
_cell_length_a 9.3176
_cell_length_b 12.3422
_cell_length_c 8.4827
_cell_angle_alpha 90.00
_cell_angle_beta 90.00
_cell_angle_gamma 90.00
_space_group_name_H-M_alt 'I b a m'
_space_group_IT_number 72
_space_group_name_Hall '-I 2 2c'
loop_
_atom_site_label
_atom_site_type_symbol
_atom_site_fract_x
_atom_site_fract_y
_atom_site_fract_z
_atom_site_occupancy
Hg1 Hg 0.2050 0.1018 0.2259 1
P1 P 0.0428 0.2608 0.5000 1
O1 O 0.0651 0.1690 0.0000 1
O2 O 0.1326 0.2645 0.3488 1
F1 F 0.0427 0.3727 0.0000 1
```

Largest 6 diffraction maxima, in order of rising 2θ, 10 to 90 degrees two-theta:
2theta, I (rel.), h k l
19.05, 70, 2 0 0
20.94, 74, 0 0 2
28.46, 100, 2 0 2
29.66, 38, 3 1 0
35.99, 36, 0 4 2
41.03, 37, 2 4 2


# 5
For Ta2Hg3SO4F10, the GGA-PBE geometry in OQMD gives the theoretical powder X-ray diffraction pattern in this record (CuKα).

Cell and atoms:
```
data_Ta2Hg3SO4F10
_cell_length_a 15.5219
_cell_length_b 17.7694
_cell_length_c 8.6405
_cell_angle_alpha 90.00
_cell_angle_beta 90.00
_cell_angle_gamma 90.00
_space_group_name_H-M_alt 'F d d 2'
_space_group_IT_number 43
_space_group_name_Hall 'F 2 -2d'
loop_
_atom_site_label
_atom_site_type_symbol
_atom_site_fract_x
_atom_site_fract_y
_atom_site_fract_z
_atom_site_occupancy
Ta1 Ta 0.0566 0.3066 0.0000 1
Hg1 Hg 0.0000 0.0000 0.2808 1
Hg2 Hg 0.1154 0.0999 0.2332 1
S1 S 0.0000 0.0000 0.8574 1
O1 O 0.0430 0.4455 0.4562 1
O2 O 0.0621 0.0392 0.7509 1
F1 F 0.0452 0.1990 0.0016 1
F2 F 0.0599 0.3054 0.2217 1
F3 F 0.0640 0.3097 0.7803 1
F4 F 0.0647 0.1826 0.5002 1
F5 F 0.0759 0.4127 0.0098 1
```

Largest 6 diffraction maxima, in order of rising 2θ, 10 to 90 degrees two-theta:
2theta, I (rel.), h k l
12.74, 46, 1 1 1
20.62, 52, 3 1 1
22.89, 88, 0 2 2
23.07, 50, 2 4 0
25.07, 71, 3 3 1
25.64, 100, 2 2 2


# 6
For HgTe2O2F10, the GGA-PBE geometry in OQMD gives the theoretical powder X-ray diffraction pattern in this record (CuKα).

Cell and atoms:
```
data_HgTe2O2F10
_cell_length_a 17.8929
_cell_length_b 8.1598
_cell_length_c 5.3197
_cell_angle_alpha 90.00
_cell_angle_beta 94.75
_cell_angle_gamma 90.00
_space_group_name_H-M_alt 'C 1 2/c 1'
_space_group_IT_number 15
_space_group_name_Hall '-C 2yc'
loop_
_atom_site_label
_atom_site_type_symbol
_atom_site_fract_x
_atom_site_fract_y
_atom_site_fract_z
_atom_site_occupancy
Hg1 Hg 0.0000 0.1400 0.2500 1
Te1 Te 0.1346 0.2569 0.6762 1
O1 O 0.0718 0.0837 0.5749 1
F1 F 0.0656 0.4045 0.5093 1
F2 F 0.0854 0.2891 0.9740 1
F3 F 0.1843 0.2397 0.3818 1
F4 F 0.1930 0.4369 0.7751 1
F5 F 0.2015 0.1197 0.8606 1
```

Largest 6 diffraction maxima, in order of rising 2θ, 10 to 90 degrees two-theta:
2theta, I (rel.), h k l
11.93, 32, 1 1 0
21.78, 35, 0 2 0
24.15, 100, 3 1 -1
25.85, 40, 3 1 1
33.29, 39, 5 1 1
43.84, 22, 6 0 -2